Calculated powder XRD pattern of GdZnPd for Cu Kα (λ = 1.5418 Å), from a DFT-relaxed cell (PBE, Alexandria).
Peak positions follow from Bragg's law for the DFT cell and can differ from measured ones.

Main lines, in order of rising 2θ (2θ from 10° to 90°):
2θ 26.92, I = 20
2θ 35.98, I = 63
2θ 37.99, I = 100
2θ 51.79, I = 22
2θ 52.98, I = 9
2θ 66.01, I = 38
2θ 69.93, I = 13
2θ 81.23, I = 8
2θ 87.35, I = 10
2θ 88.56, I = 9

Structural model:
```
GdZnPd
1.0
-1.765 1.765 4.791
1.765 -1.765 4.791
1.765 1.765 -4.791
Gd Zn Pd
1 1 1
Cartesian
0.000 0.000 0.000
0.000 0.000 2.965
0.000 0.000 6.554
```